The following is a simulated X-ray powder pattern of ZnOF4. It was derived from a DFT-relaxed cell (GGA-PBE, Alexandria), using copper Kα.
Lines closer than 0.1° are merged.

Peak list (10 most intense, 2θ = 10–80°, by angle)
| 2theta | d/Å | I/Imax |
| --- | --- | --- |
| 15.0 | 5.919 | 86.8 |
| 17.0 | 5.206 | 100.0 |
| 27.3 | 3.270 | 48.8 |
| 27.4 | 3.254 | 50.7 |
| 30.8 | 2.899 | 40.4 |
| 35.7 | 2.512 | 22.9 |
| 37.0 | 2.430 | 18.5 |
| 38.6 | 2.331 | 14.5 |
| 41.0 | 2.200 | 16.2 |
| 49.8 | 1.831 | 19.8 |

```
data_ZnOF4
_chemical_formula_sum 'Zn2 O2 F8'
_space_group_name_H-M_alt 'P -1'
_space_group_IT_number 2
_cell_length_a 5.856
_cell_length_b 6.119
_cell_length_c 6.860
_cell_angle_alpha 107.77
_cell_angle_beta 106.51
_cell_angle_gamma 108.65
loop_
_space_group_symop_operation_xyz
'x,y,z'
'-x,-y,-z'
loop_
_atom_site_label
_atom_site_type_symbol
_atom_site_fract_x
_atom_site_fract_y
_atom_site_fract_z
Zn1 Zn 0.246 0.495 0.495
O1 O 0.360 0.108 0.716
F1 F 0.020 0.408 0.648
F2 F 0.229 0.060 0.856
F3 F 0.374 0.264 0.346
F4 F 0.374 0.702 0.128
```

=====

The following is a simulated X-ray powder pattern of Na2Bi3H2Rh5. It was derived from a DFT-relaxed cell (GGA-PBE, Alexandria), using copper Kα.
Lines closer than 0.1° are merged.

Peak list (10 most intense, 2θ = 10–80°, by angle)
| 2theta | d/Å | I/Imax |
| --- | --- | --- |
| 21.6 | 4.112 | 28.1 |
| 24.0 | 3.701 | 17.6 |
| 33.8 | 2.650 | 29.5 |
| 37.9 | 2.375 | 100.0 |
| 43.4 | 2.087 | 37.5 |
| 45.3 | 2.001 | 12.7 |
| 56.1 | 1.639 | 10.2 |
| 63.0 | 1.476 | 12.3 |
| 64.5 | 1.444 | 17.8 |
| 75.9 | 1.253 | 26.6 |

```
data_Na2Bi3H2Rh5
_chemical_formula_sum 'Na4 Bi6 H4 Rh10'
_space_group_name_H-M_alt 'I 4/m m m'
_space_group_IT_number 139
_space_group_name_Hall '-I 4 2'
_cell_length_a 4.173
_cell_length_b 4.173
_cell_length_c 24.016
_cell_angle_alpha 90.00
_cell_angle_beta 90.00
_cell_angle_gamma 90.00
loop_
_atom_site_label
_atom_site_type_symbol
_atom_site_fract_x
_atom_site_fract_y
_atom_site_fract_z
Na1 Na 0.000 0.000 0.199
Bi1 Bi 0.000 0.000 0.340
Bi2 Bi 0.000 0.000 0.500
H1 H 0.000 0.000 0.079
Rh1 Rh 0.000 0.000 0.000
Rh2 Rh 0.000 0.500 0.085
```

=====

The following is a simulated X-ray powder pattern of GaPbICl4. It was derived from a DFT-relaxed cell (GGA-PBE, Alexandria), using copper Kα.
Lines closer than 0.1° are merged.

Peak list (10 most intense, 2θ = 10–80°, by angle)
| 2theta | d/Å | I/Imax |
| --- | --- | --- |
| 10.4 | 8.496 | 60.5 |
| 11.7 | 7.548 | 44.5 |
| 14.5 | 6.130 | 25.2 |
| 19.0 | 4.683 | 100.0 |
| 19.5 | 4.562 | 28.2 |
| 22.9 | 3.885 | 28.7 |
| 27.2 | 3.274 | 57.5 |
| 28.1 | 3.175 | 30.5 |
| 33.4 | 2.685 | 21.9 |
| 35.6 | 2.524 | 44.3 |

```
data_GaPbICl4
_chemical_formula_sum 'Ga4 Pb4 I4 Cl16'
_space_group_name_H-M_alt 'C 1 2/m 1'
_space_group_IT_number 12
_cell_length_a 13.202
_cell_length_b 9.366
_cell_length_c 8.797
_cell_angle_alpha 90.00
_cell_angle_beta 105.04
_cell_angle_gamma 90.00
loop_
_space_group_symop_operation_xyz
'x,y,z'
'-x,-y,-z'
'-x,y,-z'
'x,-y,z'
'x+1/2,y+1/2,z'
'-x+1/2,-y+1/2,-z'
'-x+1/2,y+1/2,-z'
'x+1/2,-y+1/2,z'
loop_
_atom_site_label
_atom_site_type_symbol
_atom_site_fract_x
_atom_site_fract_y
_atom_site_fract_z
Ga1 Ga 0.140 0.000 0.270
Pb1 Pb 0.172 0.500 0.114
I1 I 0.029 0.500 0.777
Cl1 Cl 0.022 0.000 0.723
Cl2 Cl 0.178 0.181 0.124
Cl3 Cl 0.244 0.500 0.502
```

=====

The following is a simulated X-ray powder pattern of Cs2HgBi2Pb. It was derived from a DFT-relaxed cell (GGA-PBE, Alexandria), using copper Kα.
Lines closer than 0.1° are merged.

Peak list (10 most intense, 2θ = 10–80°, by angle)
| 2theta | d/Å | I/Imax |
| --- | --- | --- |
| 10.2 | 8.660 | 100.0 |
| 26.1 | 3.414 | 68.6 |
| 30.6 | 2.918 | 59.5 |
| 30.9 | 2.897 | 58.1 |
| 32.3 | 2.774 | 86.6 |
| 33.9 | 2.642 | 26.3 |
| 41.8 | 2.162 | 21.3 |
| 44.9 | 2.017 | 25.8 |
| 56.4 | 1.632 | 22.9 |
| 56.8 | 1.621 | 21.0 |

```
data_Cs2HgBi2Pb
_chemical_formula_sum 'Cs8 Hg4 Bi8 Pb4'
_space_group_name_H-M_alt 'I b a m'
_space_group_IT_number 72
_space_group_name_Hall '-I 2 2c'
_cell_length_a 7.796
_cell_length_b 17.320
_cell_length_c 7.898
_cell_angle_alpha 90.00
_cell_angle_beta 90.00
_cell_angle_gamma 90.00
loop_
_atom_site_label
_atom_site_type_symbol
_atom_site_fract_x
_atom_site_fract_y
_atom_site_fract_z
Cs1 Cs 0.238 0.164 0.000
Hg1 Hg 0.000 0.000 0.250
Bi1 Bi 0.245 0.093 0.500
Pb1 Pb 0.000 0.500 0.250
```

=====

The following is a simulated X-ray powder pattern of ThFe2NiH8. It was derived from a DFT-relaxed cell (GGA-PBE, Alexandria), using copper Kα.
Lines closer than 0.1° are merged.

Peak list (10 most intense, 2θ = 10–80°, by angle)
| 2theta | d/Å | I/Imax |
| --- | --- | --- |
| 22.7 | 3.920 | 88.9 |
| 26.8 | 3.330 | 96.9 |
| 28.3 | 3.155 | 20.4 |
| 36.6 | 2.458 | 100.0 |
| 39.8 | 2.263 | 65.2 |
| 48.6 | 1.872 | 19.6 |
| 49.6 | 1.839 | 28.5 |
| 55.2 | 1.665 | 30.9 |
| 63.6 | 1.464 | 23.1 |
| 70.2 | 1.341 | 29.9 |

```
data_ThFe2NiH8
_chemical_formula_sum 'Th1 Fe2 Ni1 H8'
_space_group_name_H-M_alt 'P -3 m 1'
_space_group_IT_number 164
_space_group_name_Hall '-P 3 2"'
_cell_length_a 4.5262
_cell_length_b 4.5262
_cell_length_c 6.3107
_cell_angle_alpha 90.00
_cell_angle_beta 90.00
_cell_angle_gamma 120.00
loop_
_atom_site_label
_atom_site_type_symbol
_atom_site_fract_x
_atom_site_fract_y
_atom_site_fract_z
Th1 Th 0.0000 0.0000 0.0000
Fe1 Fe 0.3333 0.6667 0.3535
Ni1 Ni 0.0000 0.0000 0.5000
H1 H 0.1356 0.2712 0.3125
H2 H 0.3333 0.6667 0.0820
```

=====

The following is a simulated X-ray powder pattern of BaSmGa2Pd2. It was derived from a DFT-relaxed cell (GGA-PBE, Alexandria), using copper Kα.
Lines closer than 0.1° are merged.

Peak list (10 most intense, 2θ = 10–80°, by angle)
| 2theta | d/Å | I/Imax |
| --- | --- | --- |
| 10.9 | 8.102 | 18.0 |
| 31.6 | 2.829 | 100.0 |
| 39.5 | 2.282 | 60.9 |
| 40.5 | 2.230 | 7.5 |
| 50.6 | 1.803 | 7.7 |
| 51.4 | 1.776 | 25.1 |
| 52.5 | 1.743 | 9.3 |
| 61.2 | 1.515 | 12.7 |
| 66.7 | 1.402 | 22.9 |
| 71.6 | 1.318 | 10.3 |

```
data_BaSmGa2Pd2
_chemical_formula_sum 'Ba1 Sm1 Ga2 Pd2'
_space_group_name_H-M_alt 'P -3 m 1'
_space_group_IT_number 164
_space_group_name_Hall '-P 3 2"'
_cell_length_a 4.5646
_cell_length_b 4.5646
_cell_length_c 8.1016
_cell_angle_alpha 90.00
_cell_angle_beta 90.00
_cell_angle_gamma 120.00
loop_
_atom_site_label
_atom_site_type_symbol
_atom_site_fract_x
_atom_site_fract_y
_atom_site_fract_z
Ba1 Ba 0.0000 0.0000 0.0000
Sm1 Sm 0.0000 0.0000 0.5000
Ga1 Ga 0.3333 0.6667 0.2960
Pd1 Pd 0.3333 0.6667 0.6981
```

=====

The following is a simulated X-ray powder pattern of InPdAu6. It was derived from a DFT-relaxed cell (GGA-PBE, Alexandria), using copper Kα.
Lines closer than 0.1° are merged.

Peak list (10 most intense, 2θ = 10–80°, by angle)
| 2theta | d/Å | I/Imax |
| --- | --- | --- |
| 35.1 | 2.554 | 11.7 |
| 35.5 | 2.530 | 25.6 |
| 37.0 | 2.427 | 42.1 |
| 39.9 | 2.260 | 53.2 |
| 40.2 | 2.244 | 100.0 |
| 52.2 | 1.752 | 17.2 |
| 63.3 | 1.470 | 17.8 |
| 68.9 | 1.363 | 20.7 |
| 75.6 | 1.257 | 21.5 |
| 78.1 | 1.224 | 15.3 |

```
data_InPdAu6
_chemical_formula_sum 'In2 Pd2 Au12'
_space_group_name_H-M_alt 'A m m 2'
_space_group_IT_number 38
_cell_length_a 4.855
_cell_length_b 5.825
_cell_length_c 10.216
_cell_angle_alpha 90.00
_cell_angle_beta 90.00
_cell_angle_gamma 90.00
loop_
_space_group_symop_operation_xyz
'x,y,z'
'-x,-y,z'
'-x,y,z'
'x,-y,z'
'x,y+1/2,z+1/2'
'-x,-y+1/2,z+1/2'
'-x,y+1/2,z+1/2'
'x,-y+1/2,z+1/2'
loop_
_atom_site_label
_atom_site_type_symbol
_atom_site_fract_x
_atom_site_fract_y
_atom_site_fract_z
In1 In 0.000 0.000 0.000
Pd1 Pd 0.000 0.000 0.498
Au1 Au 0.000 0.250 0.249
Au2 Au 0.500 0.000 0.336
Au3 Au 0.500 0.000 0.834
Au4 Au 0.500 0.246 0.584
```

=====

The following is a simulated X-ray powder pattern of MgCd5Sn2. It was derived from a DFT-relaxed cell (GGA-PBE, Alexandria), using copper Kα.
Lines closer than 0.1° are merged.

Peak list (10 most intense, 2θ = 10–80°, by angle)
| 2theta | d/Å | I/Imax |
| --- | --- | --- |
| 33.7 | 2.661 | 100.0 |
| 34.4 | 2.608 | 95.0 |
| 38.6 | 2.333 | 34.5 |
| 40.0 | 2.256 | 62.3 |
| 56.8 | 1.622 | 44.1 |
| 66.7 | 1.402 | 13.3 |
| 67.1 | 1.394 | 13.1 |
| 68.2 | 1.376 | 24.6 |
| 69.4 | 1.354 | 23.5 |
| 70.8 | 1.330 | 11.0 |

```
data_MgCd5Sn2
_chemical_formula_sum 'Mg2 Cd10 Sn4'
_space_group_name_H-M_alt 'P b a m'
_space_group_IT_number 55
_cell_length_a 6.477
_cell_length_b 12.580
_cell_length_c 4.667
_cell_angle_alpha 90.00
_cell_angle_beta 90.00
_cell_angle_gamma 90.00
loop_
_space_group_symop_operation_xyz
'x,y,z'
'-x,-y,-z'
'-x,-y,z'
'x,y,-z'
'x+1/2,-y+1/2,-z'
'-x+1/2,y+1/2,z'
'-x+1/2,y+1/2,-z'
'x+1/2,-y+1/2,z'
loop_
_atom_site_label
_atom_site_type_symbol
_atom_site_fract_x
_atom_site_fract_y
_atom_site_fract_z
Mg1 Mg 0.000 0.000 0.000
Cd1 Cd 0.000 0.500 0.000
Cd2 Cd 0.001 0.249 0.000
Cd3 Cd 0.247 0.626 0.500
Sn1 Sn 0.242 0.877 0.500
```

=====

The following is a simulated X-ray powder pattern of Ce2Ni15Ru2. It was derived from a DFT-relaxed cell (GGA-PBE, Alexandria), using copper Kα.
Lines closer than 0.1° are merged.

Peak list (10 most intense, 2θ = 10–80°, by angle)
| 2theta | d/Å | I/Imax |
| --- | --- | --- |
| 30.6 | 2.925 | 23.9 |
| 37.4 | 2.406 | 54.6 |
| 38.4 | 2.342 | 31.7 |
| 43.4 | 2.084 | 71.2 |
| 43.6 | 2.076 | 100.0 |
| 44.1 | 2.053 | 30.0 |
| 44.4 | 2.042 | 21.3 |
| 44.5 | 2.035 | 18.8 |
| 49.0 | 1.858 | 33.3 |
| 79.7 | 1.203 | 22.6 |

```
data_Ce2Ni15Ru2
_chemical_formula_sum 'Ce6 Ni45 Ru6'
_space_group_name_H-M_alt 'R -3 m'
_space_group_IT_number 166
_space_group_name_Hall '-R 3 2"'
_cell_length_a 8.3349
_cell_length_b 8.3349
_cell_length_c 12.3160
_cell_angle_alpha 90.00
_cell_angle_beta 90.00
_cell_angle_gamma 120.00
loop_
_atom_site_label
_atom_site_type_symbol
_atom_site_fract_x
_atom_site_fract_y
_atom_site_fract_z
Ce1 Ce 0.0000 0.0000 0.1589
Ni1 Ni 0.0000 0.3012 0.5000
Ni2 Ni 0.0000 0.5000 0.0000
Ni3 Ni 0.0015 0.5008 0.6562
Ru1 Ru 0.0000 0.0000 0.4023
```

=====

The following is a simulated X-ray powder pattern of Rb2Hg5Bi3. It was derived from a DFT-relaxed cell (GGA-PBE, Alexandria), using copper Kα.
Lines closer than 0.1° are merged.

Peak list (10 most intense, 2θ = 10–80°, by angle)
| 2theta | d/Å | I/Imax |
| --- | --- | --- |
| 14.3 | 6.192 | 36.3 |
| 18.3 | 4.860 | 45.2 |
| 27.4 | 3.253 | 42.4 |
| 27.9 | 3.199 | 100.0 |
| 33.8 | 2.648 | 42.6 |
| 34.0 | 2.636 | 42.8 |
| 37.7 | 2.384 | 79.8 |
| 40.2 | 2.243 | 21.2 |
| 48.7 | 1.868 | 28.6 |
| 63.3 | 1.468 | 13.9 |

```
data_Rb2Hg5Bi3
_chemical_formula_sum 'Rb8 Hg20 Bi12'
_space_group_name_H-M_alt 'C 1 2/c 1'
_space_group_IT_number 15
_cell_length_a 16.671
_cell_length_b 12.383
_cell_length_c 7.478
_cell_angle_alpha 90.00
_cell_angle_beta 116.38
_cell_angle_gamma 90.00
loop_
_space_group_symop_operation_xyz
'x,y,z'
'-x,-y,-z'
'-x,y,-z+1/2'
'x,-y,z+1/2'
'x+1/2,y+1/2,z'
'-x+1/2,-y+1/2,-z'
'-x+1/2,y+1/2,-z+1/2'
'x+1/2,-y+1/2,z+1/2'
loop_
_atom_site_label
_atom_site_type_symbol
_atom_site_fract_x
_atom_site_fract_y
_atom_site_fract_z
Rb1 Rb 0.124 0.237 0.124
Hg1 Hg 0.000 0.002 0.250
Hg2 Hg 0.118 0.352 0.615
Hg3 Hg 0.226 0.497 0.974
Bi1 Bi 0.000 0.500 0.250
Bi2 Bi 0.138 0.116 0.639
```